Record 1
# SrLi4Pd2
Simulated powder diffraction line list, Cu Ka. Input: a DFT-relaxed cell (GGA-PBE, Alexandria).
Peak positions follow from Bragg's law for the DFT cell and can differ from measured ones.

Main lines, in order of rising 2θ (2θ = 10–90°):
two_theta	I/Imax
15.83	30
22.45	23
26.12	100
31.96	55
32.75	49
40.08	32
41.73	49
42.01	18
53.74	24
67.28	21

```
SrLi4Pd2
1.0
7.920 0.000 0.000
0.000 7.920 0.000
0.000 0.000 4.301
Sr Li Pd
2 8 4
Cartesian
0.000 0.000 0.000
3.960 3.960 2.151
0.754 2.761 2.151
1.199 4.713 0.000
2.761 0.754 2.151
3.206 6.721 0.000
4.713 1.199 0.000
5.158 7.166 2.151
6.721 3.206 0.000
7.166 5.158 2.151
1.732 6.188 2.151
2.228 2.228 0.000
5.692 5.692 0.000
6.188 1.732 2.151
```

Record 2
# SrLi5Pd2
Simulated powder diffraction line list, Cu Ka. Input: a DFT-relaxed cell (GGA-PBE, Alexandria).
Peak positions follow from Bragg's law for the DFT cell and can differ from measured ones.

Main lines, in order of rising 2θ (2θ = 10–90°):
two_theta	I/Imax
14.27	29
17.97	19
22.27	56
24.20	16
30.31	100
36.39	15
43.08	21
44.43	38
61.75	13
63.04	13

```
SrLi5Pd2
1.0
4.143 0.000 0.000
0.000 7.983 0.000
0.000 0.000 9.875
Sr Li Pd
2 10 4
Cartesian
0.000 0.000 0.000
2.072 3.991 4.937
0.000 1.427 3.259
0.000 1.427 6.616
0.000 3.991 0.000
0.000 6.555 3.259
0.000 6.555 6.616
2.072 0.000 4.937
2.072 2.564 1.679
2.072 2.564 8.196
2.072 5.419 1.679
2.072 5.419 8.196
0.000 3.991 2.564
0.000 3.991 7.311
2.072 0.000 2.374
2.072 0.000 7.501
```

Record 3
# Sr2LiThPd6
Simulated powder diffraction line list, Cu Ka. Input: a DFT-relaxed cell (GGA-PBE, Alexandria).
Peak positions follow from Bragg's law for the DFT cell and can differ from measured ones.

Main lines, in order of rising 2θ (2θ = 10–90°):
two_theta	I/Imax
14.51	55
15.44	60
26.91	81
33.36	38
34.15	51
36.31	100
38.40	64
39.04	68
40.87	48
42.78	44

```
Sr2LiThPd6
1.0
5.743 0.000 0.000
-1.815 6.284 0.000
-1.262 -2.727 6.104
Sr Li Th Pd
2 1 1 6
Cartesian
-0.551 0.170 1.872
3.217 3.387 4.232
2.241 -1.363 3.052
1.964 3.142 0.000
-1.254 3.238 1.384
0.350 5.266 0.524
0.368 2.272 3.948
2.297 1.286 2.156
2.316 -1.709 5.580
3.920 0.319 4.720
```

Record 4
# Sr2Li6TlPd
Simulated powder diffraction line list, Cu Ka. Input: a DFT-relaxed cell (GGA-PBE, Alexandria).
Peak positions follow from Bragg's law for the DFT cell and can differ from measured ones.

Main lines, in order of rising 2θ (2θ = 10–90°):
two_theta	I/Imax
17.36	12
24.62	100
24.79	20
35.03	9
35.19	19
43.29	27
43.56	17
50.50	13
56.89	12
68.60	14

```
Sr2Li6TlPd
1.0
-3.591 3.622 5.122
3.591 -3.622 5.122
3.591 3.622 -5.122
Sr Li Tl Pd
2 6 1 1
Cartesian
0.000 0.000 2.562
0.000 0.000 7.683
1.706 1.901 0.000
1.885 -1.720 5.122
3.591 0.000 2.686
0.000 3.622 2.437
1.706 5.342 0.000
1.885 1.720 5.122
3.591 0.000 0.000
0.000 3.622 0.000
```

Record 5
# Sr2LiZn4Pd3
Simulated powder diffraction line list, Cu Ka. Input: a DFT-relaxed cell (GGA-PBE, Alexandria).
Peak positions follow from Bragg's law for the DFT cell and can differ from measured ones.

Main lines, in order of rising 2θ (2θ = 10–90°):
two_theta	I/Imax
21.65	27
28.20	31
32.88	100
33.23	100
40.31	98
45.40	43
48.65	36
52.96	50
58.33	33
64.96	29

```
Sr2LiZn4Pd3
1.0
4.475 0.000 0.000
0.000 4.475 0.000
0.000 0.000 10.302
Sr Li Zn Pd
2 1 4 3
Cartesian
0.000 2.237 2.522
2.237 0.000 7.781
0.000 0.000 5.151
0.000 0.000 0.000
0.000 2.237 6.440
2.237 0.000 3.862
2.237 2.237 0.000
0.000 2.237 8.986
2.237 0.000 1.316
2.237 2.237 5.151
```

Record 6
# Sr2LiZn3Pd4
Simulated powder diffraction line list, Cu Ka. Input: a DFT-relaxed cell (GGA-PBE, Alexandria).
Peak positions follow from Bragg's law for the DFT cell and can differ from measured ones.

Main lines, in order of rising 2θ (2θ = 10–90°):
two_theta	I/Imax
32.17	67
33.84	100
42.29	70
44.56	38
46.44	38
54.11	30
61.34	23
64.60	28
71.93	21
83.66	17

```
Sr2LiZn3Pd4
1.0
4.275 0.000 0.000
0.000 4.275 0.000
0.000 0.000 10.994
Sr Li Zn Pd
2 1 3 4
Cartesian
0.000 2.137 2.734
2.137 0.000 8.260
0.000 0.000 5.497
0.000 2.137 9.556
2.137 0.000 1.438
2.137 2.137 5.497
0.000 0.000 0.000
0.000 2.137 6.995
2.137 0.000 3.999
2.137 2.137 0.000
```

Record 7
# LiTaPd
Simulated powder diffraction line list, Cu Ka. Input: a DFT-relaxed cell (GGA-PBE, Alexandria).
Peak positions follow from Bragg's law for the DFT cell and can differ from measured ones.

Main lines, in order of rising 2θ (2θ = 10–90°):
two_theta	I/Imax
12.78	59
25.58	87
26.65	24
33.29	30
39.66	100
43.23	45
44.42	80
61.05	28
78.56	27
84.55	20

```
LiTaPd
1.0
2.039 1.177 6.927
-2.039 1.177 6.927
0.000 -2.355 6.927
Li Ta Pd
2 2 2
Cartesian
0.000 0.000 3.034
0.000 0.000 17.748
0.000 0.000 6.116
0.000 0.000 14.666
0.000 0.000 8.989
0.000 0.000 11.792
```

Record 8
# LiTaPd3
Simulated powder diffraction line list, Cu Ka. Input: a DFT-relaxed cell (GGA-PBE, Alexandria).
Peak positions follow from Bragg's law for the DFT cell and can differ from measured ones.

Main lines, in order of rising 2θ (2θ = 10–90°):
two_theta	I/Imax
12.90	27
21.19	40
36.75	62
37.02	58
39.40	55
40.78	100
43.72	40
49.48	24
60.12	16
72.38	18

```
LiTaPd3
1.0
2.597 -6.860 0.000
2.597 6.860 0.000
-2.509 0.000 4.293
Li Ta Pd
2 2 6
Cartesian
0.715 3.452 3.220
1.970 -3.452 1.073
1.970 5.782 1.073
0.715 -5.782 3.220
1.299 3.430 0.000
0.679 1.145 1.723
-0.576 -1.145 3.870
0.044 -3.430 2.146
3.261 1.145 0.423
2.006 -1.145 2.569
```

Record 9
# LiTb2Pd8
Simulated powder diffraction line list, Cu Ka. Input: a DFT-relaxed cell (GGA-PBE, Alexandria).
Peak positions follow from Bragg's law for the DFT cell and can differ from measured ones.

Main lines, in order of rising 2θ (2θ = 10–90°):
two_theta	I/Imax
34.65	20
37.59	100
38.78	91
40.86	44
43.72	17
44.64	18
47.45	12
62.11	13
72.25	14
73.02	14

```
LiTb2Pd8
1.0
7.338 -2.208 0.000
7.338 2.208 0.000
-1.477 0.000 5.835
Li Tb Pd
1 2 8
Cartesian
0.000 0.000 0.000
3.817 0.000 1.861
9.381 0.000 3.974
0.771 0.000 2.463
0.833 0.000 5.231
3.839 0.000 4.800
6.617 0.000 1.544
6.581 0.000 4.291
9.359 0.000 1.035
12.365 0.000 0.604
12.427 0.000 3.372
```

Record 10
# LiTb2Pd
Simulated powder diffraction line list, Cu Ka. Input: a DFT-relaxed cell (GGA-PBE, Alexandria).
Peak positions follow from Bragg's law for the DFT cell and can differ from measured ones.

Main lines, in order of rising 2θ (2θ = 10–90°):
two_theta	I/Imax
11.45	91
25.17	19
26.05	35
29.33	17
31.58	100
43.81	41
45.43	18
46.69	33
55.00	21
72.82	18

```
LiTb2Pd
1.0
4.133 0.000 0.000
-2.067 3.580 0.000
0.000 0.000 23.175
Li Tb Pd
3 6 3
Cartesian
0.000 0.000 0.000
0.000 2.386 15.450
2.067 1.193 7.725
0.000 0.000 13.020
0.000 0.000 17.755
0.000 2.386 5.295
0.000 2.386 10.030
2.067 1.193 2.305
2.067 1.193 20.745
0.000 0.000 3.779
0.000 2.386 19.229
2.067 1.193 11.504
```

Record 11
# LiTbZn2Pd4
Simulated powder diffraction line list, Cu Ka. Input: a DFT-relaxed cell (GGA-PBE, Alexandria).
Peak positions follow from Bragg's law for the DFT cell and can differ from measured ones.

Main lines, in order of rising 2θ (2θ = 10–90°):
two_theta	I/Imax
23.68	15
30.30	29
35.82	21
38.91	85
41.06	100
51.88	6
57.85	26
73.37	28
74.81	27
89.08	11

```
LiTbZn2Pd4
1.0
2.198 1.269 7.773
-2.198 1.269 7.773
0.000 -2.538 7.773
Li Tb Zn Pd
1 1 2 4
Cartesian
0.000 0.000 0.000
0.000 0.000 11.659
0.000 0.000 6.025
0.000 0.000 17.292
0.000 0.000 2.468
0.000 0.000 8.689
0.000 0.000 14.629
0.000 0.000 20.849
```

Record 12
# LiTcPd
Simulated powder diffraction line list, Cu Ka. Input: a DFT-relaxed cell (GGA-PBE, Alexandria).
Peak positions follow from Bragg's law for the DFT cell and can differ from measured ones.

Main lines, in order of rising 2θ (2θ = 10–90°):
two_theta	I/Imax
28.93	21
29.84	33
31.40	17
35.71	14
42.04	100
42.71	52
52.41	16
61.99	17
76.37	13
77.75	31

```
LiTcPd
1.0
2.994 0.000 0.000
0.000 2.994 0.000
0.000 0.000 9.259
Li Tc Pd
2 2 2
Cartesian
0.000 0.000 0.000
0.000 0.000 2.834
0.000 0.000 5.836
1.497 1.497 4.443
1.497 1.497 1.507
1.497 1.497 7.759
```